Entry 1:
Theoretical XRD peak list
Compound: ScP2Rh4
Radiation: Cu Kα (λ = 1.5418 Å)
Structure: a PBE-relaxed structure

Structure:
a b c (Å): 17.070 4.095 5.766
angles (deg): 90.00 90.00 90.00
Space group Pnma (No. 62)
Unique sites:
Sc (0.130, 0.250, 0.044) (multiplicity 4)
P (0.042, 0.750, 0.259) (multiplicity 4)
P (0.203, 0.250, 0.621) (multiplicity 4)
Rh (0.033, 0.750, 0.856) (multiplicity 4)
Rh (0.074, 0.250, 0.522) (multiplicity 4)
Rh (0.177, 0.750, 0.351) (multiplicity 4)
Rh (0.210, 0.750, 0.822) (multiplicity 4)

Principal peaks in the range 2θ from 15° to 90°, in order of falling intensity:
2theta  intensity  h k l
38.5  100  6 1 0
37.7  76  5 1 1
44.2  58  0 2 0
39.7  47  2 1 2
46.8  30  5 1 2
30.2  29  4 1 0
31.5  20  1 0 2
35.2  18  6 0 1
34.1  17  4 1 1
48.9  16  7 0 2



Entry 2:
Theoretical XRD peak list
Compound: Th8P3RhSe4
Radiation: Cu Kα (λ = 1.5418 Å)
Structure: a PBE-relaxed structure

Structure:
a b c (Å): 8.3365 8.3365 20.6830
angles (deg): 90.00 90.00 120.00
Space group R-3m (No. 166, hexagonal axes)
Unique sites:
Th (0.0000, 0.0000, 0.2435) (multiplicity 6)
Th (0.0008, 0.5004, 0.2436) (multiplicity 18)
P (0.0000, 0.5000, 0.5000) (multiplicity 9)
Rh (0.0000, 0.0000, 0.5000) (multiplicity 3)
Se (0.0000, 0.0000, 0.0000) (multiplicity 3)
Se (0.0000, 0.5000, 0.0000) (multiplicity 9)

Principal peaks in the range 2θ from 15° to 90°, in order of falling intensity:
2theta  intensity  h k l
30.2  100  0 2 4
26.1  43  2 0 2
43.4  38  2 2 0
43.0  36  2 0 8
53.8  20  4 0 4
71.5  17  2 4 4
71.0  15  2 2 12
51.2  14  2 2 6
25.8  14  0 0 6
79.4  12  4 2 8



Entry 3:
Theoretical XRD peak list
Compound: Th8PRh3Se4
Radiation: Cu Kα (λ = 1.5418 Å)
Structure: a PBE-relaxed structure

Structure:
a b c (Å): 8.2776 8.2776 21.3798
angles (deg): 90.00 90.00 120.00
Space group R-3m (No. 166, hexagonal axes)
Unique sites:
Th (0.0000, 0.0000, 0.2394) (multiplicity 6)
Th (0.0016, 0.5008, 0.7567) (multiplicity 18)
P (0.0000, 0.0000, 0.5000) (multiplicity 3)
Rh (0.0000, 0.5000, 0.5000) (multiplicity 9)
Se (0.0000, 0.0000, 0.0000) (multiplicity 3)
Se (0.0000, 0.5000, 0.0000) (multiplicity 9)

Principal peaks in the range 2θ from 15° to 90°, in order of falling intensity:
2theta  intensity  h k l
30.0  100  0 2 4
43.7  37  2 2 0
42.2  37  2 0 8
26.2  29  2 0 2
54.0  20  4 0 4
71.9  17  2 4 4
69.6  15  2 2 12
79.3  12  4 2 8
62.4  12  0 4 8
25.0  9  0 0 6



Entry 4:
Theoretical XRD peak list
Compound: ZnPRhSe
Radiation: Cu Kα (λ = 1.5418 Å)
Structure: a PBE-relaxed structure

Structure:
a b c (Å): 7.913 3.155 5.905
angles (deg): 90.00 93.57 90.00
Space group Cm (No. 8)
Unique sites:
Zn (0.000, 0.000, 0.000) (multiplicity 2)
P (0.200, 0.000, 0.614) (multiplicity 2)
Rh (0.496, 0.000, 0.648) (multiplicity 2)
Se (0.293, 0.000, 0.229) (multiplicity 2)

Principal peaks in the range 2θ from 15° to 90°, in order of falling intensity:
2theta  intensity  h k l
33.9  100  1 1 -1
48.3  67  3 1 1
28.0  62  2 0 1
30.5  50  1 1 0
30.3  44  0 0 2
44.1  43  1 1 2
43.0  42  1 1 -2
26.4  39  2 0 -1
46.8  39  3 1 -1
22.5  29  2 0 0



Entry 5:
Theoretical XRD peak list
Compound: SmP4Rh4
Radiation: Cu Kα (λ = 1.5418 Å)
Structure: a PBE-relaxed structure

Structure:
a b c (Å): 6.134 6.134 7.551
angles (deg): 90.00 90.00 90.00
Space group P4_2/nmc (No. 137, origin choice 2)
Unique sites:
Sm (0.250, 0.750, 0.250) (multiplicity 2)
P (0.026, 0.250, 0.059) (multiplicity 8)
Rh (0.027, 0.250, 0.367) (multiplicity 8)

Principal peaks in the range 2θ from 15° to 90°, in order of falling intensity:
2theta  intensity  h k l
34.8  100  2 1 1
27.7  29  1 0 2
31.5  27  2 0 1
38.7  27  1 0 3
46.7  26  2 0 3
65.6  18  2 2 4
60.4  16  4 0 0
41.6  16  2 2 0
58.1  16  3 0 3
86.4  12  5 2 1



Entry 6:
Theoretical XRD peak list
Compound: Sm2P4Rh3
Radiation: Cu Kα (λ = 1.5418 Å)
Structure: a PBE-relaxed structure

Structure:
a b c (Å): 5.574 14.757 7.211
angles (deg): 90.00 90.00 90.00
Space group Cmce (No. 64)
Unique sites:
Sm (0.000, 0.111, 0.087) (multiplicity 8)
P (0.000, 0.189, 0.463) (multiplicity 8)
P (0.250, 0.054, 0.750) (multiplicity 8)
Rh (0.000, 0.000, 0.500) (multiplicity 4)
Rh (0.250, 0.216, 0.750) (multiplicity 8)

Principal peaks in the range 2θ from 15° to 90°, in order of falling intensity:
2theta  intensity  h k l
36.6  100  1 5 1
40.9  48  2 0 2
27.2  37  1 3 1
34.8  34  1 3 2
39.4  33  0 2 3
63.6  26  2 6 3
38.7  26  0 6 1
60.2  24  3 5 1
27.5  24  0 2 2
34.4  16  2 2 0